No. 1
For AsRh2, a GGA-PBE-relaxed structure gives the computed powder XRD pattern in this record (CuKα).

Most intense lines, 5 to 70 degrees two-theta, sorted by position:
Position (°2θ), intensity
36.18, 91.3
38.11, 65.0
39.05, 52.7
40.02, 100.0
42.53, 70.5
45.30, 69.8
45.40, 17.7
47.78, 20.1
52.90, 22.0
61.32, 27.3

Atomic structure:
Cell: 5.8473 4.0040 7.5245 Å, 90.00 90.00 90.00°
Fractional coordinates of all 12 atoms:
As1 0.2334 0.2500 0.1116
As2 0.2666 0.7500 0.6116
As3 0.7334 0.2500 0.3884
As4 0.7666 0.7500 0.8884
Rh1 0.0320 0.2500 0.8216
Rh2 0.1472 0.2500 0.4267
Rh3 0.3528 0.7500 0.9267
Rh4 0.4680 0.7500 0.3216
Rh5 0.5320 0.2500 0.6784
Rh6 0.6472 0.2500 0.0733
Rh7 0.8528 0.7500 0.5733
Rh8 0.9680 0.7500 0.1784



No. 2
For CeIn3Cu4Se8, a GGA-PBE-relaxed structure gives the computed powder XRD pattern in this record (CuKα).

Most intense lines, 5 to 70 degrees two-theta, sorted by position:
Position (°2θ), intensity
25.98, 100.0
26.91, 5.0
34.76, 7.1
42.96, 48.2
43.31, 22.7
50.58, 15.1
51.20, 27.4
62.91, 6.5
68.74, 10.4
69.25, 4.8

Atomic structure:
Cell: 5.9095 5.9095 12.0038 Å, 90.00 90.00 90.00°
Fractional coordinates of all 16 atoms:
Ce1 0.0000 0.0000 0.0000
In1 0.0000 0.5000 0.2565
In2 0.5000 0.0000 0.7435
In3 0.5000 0.5000 0.5000
Cu1 0.0000 0.0000 0.5000
Cu2 0.0000 0.5000 0.7471
Cu3 0.5000 0.0000 0.2529
Cu4 0.5000 0.5000 0.0000
Se1 0.2166 0.2494 0.6222
Se2 0.2494 0.7834 0.3778
Se3 0.2655 0.7076 0.8652
Se4 0.2924 0.2655 0.1348
Se5 0.7076 0.7345 0.1348
Se6 0.7345 0.2924 0.8652
Se7 0.7506 0.2166 0.3778
Se8 0.7834 0.7506 0.6222



No. 3
For Eu4As3, a GGA-PBE-relaxed structure gives the computed powder XRD pattern in this record (CuKα).

Most intense lines, 5 to 70 degrees two-theta, sorted by position:
Position (°2θ), intensity
23.72, 11.8
27.46, 13.6
30.78, 100.0
36.60, 63.5
46.36, 7.9
48.55, 19.7
50.67, 33.0
62.30, 22.3
64.11, 12.2
65.89, 14.8

Atomic structure:
Cell: 7.9556 7.9556 7.9556 Å, 109.47 109.47 109.47°
Fractional coordinates of all 14 atoms:
Eu1 0.0000 0.3643 0.5000
Eu2 0.0000 0.8643 0.5000
Eu3 0.1357 0.1357 0.1357
Eu4 0.3643 0.5000 0.0000
Eu5 0.5000 0.0000 0.3643
Eu6 0.5000 0.0000 0.8643
Eu7 0.6357 0.6357 0.6357
Eu8 0.8643 0.5000 0.0000
As1 0.1250 0.7500 0.8750
As2 0.2500 0.6250 0.3750
As3 0.3750 0.2500 0.6250
As4 0.6250 0.3750 0.2500
As5 0.7500 0.8750 0.1250
As6 0.8750 0.1250 0.7500



No. 4
For Sr3Hg, a GGA-PBE-relaxed structure gives the computed powder XRD pattern in this record (CuKα).

Most intense lines, 5 to 70 degrees two-theta, sorted by position:
Position (°2θ), intensity
15.78, 91.5
17.66, 55.8
27.16, 71.9
28.62, 100.0
29.00, 48.5
30.51, 35.1
31.93, 49.6
32.89, 40.1
34.02, 31.0
34.97, 31.3

Atomic structure:
Cell: 8.4408 11.2441 7.5163 Å, 90.00 90.00 90.00°
Fractional coordinates of all 16 atoms:
Sr1 0.0367 0.2500 0.1501
Sr2 0.1784 0.0659 0.6641
Sr3 0.1784 0.4341 0.6641
Sr4 0.3216 0.5659 0.1641
Sr5 0.3216 0.9341 0.1641
Sr6 0.4633 0.7500 0.6501
Sr7 0.5367 0.2500 0.3499
Sr8 0.6784 0.0659 0.8359
Sr9 0.6784 0.4341 0.8359
Sr10 0.8216 0.5659 0.3359
Sr11 0.8216 0.9341 0.3359
Sr12 0.9633 0.7500 0.8499
Hg1 0.1207 0.7500 0.4451
Hg2 0.3793 0.2500 0.9451
Hg3 0.6207 0.7500 0.0549
Hg4 0.8793 0.2500 0.5549



No. 5
For PmPd3, a GGA-PBE-relaxed structure gives the computed powder XRD pattern in this record (CuKα).

Most intense lines, 5 to 70 degrees two-theta, sorted by position:
Position (°2θ), intensity
21.22, 2.0
30.19, 1.7
37.19, 100.0
43.21, 49.0
48.62, 1.0
53.61, 0.7
62.77, 31.8

Atomic structure:
Cell: 4.1872 4.1872 4.1872 Å, 90.00 90.00 90.00°
Fractional coordinates of all 4 atoms:
Pm1 0.0000 0.0000 0.0000
Pd1 0.0000 0.5000 0.5000
Pd2 0.5000 0.0000 0.5000
Pd3 0.5000 0.5000 0.0000



No. 6
For Cs2LiYI6, a GGA-PBE-relaxed structure gives the computed powder XRD pattern in this record (CuKα).

Most intense lines, 5 to 70 degrees two-theta, sorted by position:
Position (°2θ), intensity
12.66, 4.3
20.75, 3.3
25.49, 100.0
29.51, 75.3
42.22, 55.9
49.97, 46.6
52.35, 19.7
61.25, 9.2
67.43, 18.9
69.43, 25.3

Atomic structure:
Cell: 8.5611 8.5611 8.5611 Å, 60.00 60.00 60.00°
Fractional coordinates of all 10 atoms:
Cs1 0.2500 0.2500 0.2500
Cs2 0.7500 0.7500 0.7500
Li1 0.0000 0.0000 0.0000
Y1 0.5000 0.5000 0.5000
I1 0.2496 0.2496 0.7504
I2 0.2496 0.7504 0.2496
I3 0.2496 0.7504 0.7504
I4 0.7504 0.2496 0.2496
I5 0.7504 0.2496 0.7504
I6 0.7504 0.7504 0.2496